Record 1
Structure and simulated XRD peak list of Cs2ZnHgO (a structure optimized by DFT (PBE); copper Kα).
No peak broadening, texture or thermal motion is included.

```
data_Cs2ZnHgO
_chemical_formula_sum 'Cs2 Zn1 Hg1 O1'
_cell_length_a 6.6328
_cell_length_b 6.6328
_cell_length_c 3.9864
_cell_angle_alpha 90.00
_cell_angle_beta 90.00
_cell_angle_gamma 90.00
_space_group_name_H-M_alt 'P 4/m m m'
_space_group_IT_number 123
_space_group_name_Hall '-P 4 2'
loop_
_atom_site_label
_atom_site_fract_x
_atom_site_fract_y
_atom_site_fract_z
Cs1 0.0000 0.5000 0.0000
Zn1 0.0000 0.0000 0.5000
Hg1 0.5000 0.5000 0.5000
O1 0.0000 0.0000 0.0000
```

Largest 10 diffraction maxima, low angle first, 15° ≤ 2θ ≤ 90°:
2θ = 26.9°, d = 3.316 Å, rel. 71.8, hkl 2 0 0
2θ = 29.4°, d = 3.037 Å, rel. 100.0, hkl 1 1 1
2θ = 38.4°, d = 2.345 Å, rel. 27.7, hkl 2 2 0
2θ = 49.1°, d = 1.856 Å, rel. 48.7, hkl 3 1 1
2θ = 53.6°, d = 1.708 Å, rel. 20.8, hkl 2 0 2
2θ = 61.0°, d = 1.519 Å, rel. 14.1, hkl 2 2 2
2θ = 62.6°, d = 1.483 Å, rel. 13.0, hkl 4 2 0
2θ = 64.0°, d = 1.455 Å, rel. 11.1, hkl 3 3 1
2θ = 77.1°, d = 1.237 Å, rel. 13.1, hkl 5 1 1
2θ = 80.8°, d = 1.190 Å, rel. 12.7, hkl 4 2 2



Record 2
Structure and simulated XRD peak list of CsHoGeSe4 (a structure optimized by DFT (PBE); copper Kα).
No peak broadening, texture or thermal motion is included.

```
data_CsHoGeSe4
_chemical_formula_sum 'Cs2 Ho2 Ge2 Se8'
_cell_length_a 6.7440
_cell_length_b 7.1325
_cell_length_c 9.8752
_cell_angle_alpha 90.00
_cell_angle_beta 108.58
_cell_angle_gamma 90.00
_space_group_name_H-M_alt 'P 1 21/m 1'
_space_group_IT_number 11
loop_
_space_group_symop_operation_xyz
'x,y,z'
'-x,-y,-z'
'-x,y+1/2,-z'
'x,-y+1/2,z'
loop_
_atom_site_label
_atom_site_fract_x
_atom_site_fract_y
_atom_site_fract_z
Cs1 0.2504 0.2500 0.0588
Ho1 0.2240 0.2500 0.5477
Ge1 0.2220 0.7500 0.3402
Se1 0.0173 0.5078 0.6943
Se2 0.4261 0.7500 0.1862
Se3 0.4472 0.7500 0.5777
```

Largest 10 diffraction maxima, low angle first, 15° ≤ 2θ ≤ 90°:
2θ = 18.6°, d = 4.760 Å, rel. 43.9, hkl 1 1 0
2θ = 25.0°, d = 3.566 Å, rel. 64.4, hkl 0 2 0
2θ = 28.4°, d = 3.147 Å, rel. 47.0, hkl 2 0 -2
2θ = 28.7°, d = 3.115 Å, rel. 50.1, hkl 1 2 0
2θ = 29.8°, d = 3.001 Å, rel. 100.0, hkl 1 1 2
2θ = 31.1°, d = 2.880 Å, rel. 73.3, hkl 2 1 -2
2θ = 31.5°, d = 2.837 Å, rel. 49.6, hkl 0 2 2
2θ = 32.0°, d = 2.801 Å, rel. 42.5, hkl 1 2 -2
2θ = 37.8°, d = 2.380 Å, rel. 50.6, hkl 2 2 0
2θ = 51.2°, d = 1.784 Å, rel. 37.3, hkl 0 4 0



Record 3
Structure and simulated XRD peak list of La3TlGa (a structure optimized by DFT (PBE); copper Kα).
No peak broadening, texture or thermal motion is included.

```
data_La3TlGa
_chemical_formula_sum 'La24 Tl8 Ga8'
_cell_length_a 7.3626
_cell_length_b 9.7341
_cell_length_c 17.1100
_cell_angle_alpha 90.00
_cell_angle_beta 90.00
_cell_angle_gamma 90.00
_space_group_name_H-M_alt 'F m m m'
_space_group_IT_number 69
_space_group_name_Hall '-F 2 2'
loop_
_atom_site_label
_atom_site_fract_x
_atom_site_fract_y
_atom_site_fract_z
La1 0.0000 0.0000 0.1903
La2 0.0000 0.2012 0.4001
Tl1 0.2034 0.0000 0.0000
Ga1 0.2500 0.2500 0.2500
```

Largest 10 diffraction maxima, low angle first, 15° ≤ 2θ ≤ 90°:
2θ = 27.8°, d = 3.213 Å, rel. 43.6, hkl 0 2 4
2θ = 30.2°, d = 2.957 Å, rel. 51.7, hkl 1 1 5
2θ = 30.6°, d = 2.925 Å, rel. 55.3, hkl 1 3 1
2θ = 32.1°, d = 2.790 Å, rel. 61.5, hkl 2 0 4
2θ = 32.2°, d = 2.777 Å, rel. 100.0, hkl 2 2 2
2θ = 36.5°, d = 2.460 Å, rel. 62.4, hkl 0 2 6
2θ = 36.9°, d = 2.434 Å, rel. 26.1, hkl 0 4 0
2θ = 49.2°, d = 1.851 Å, rel. 31.3, hkl 3 3 3
2θ = 55.7°, d = 1.649 Å, rel. 26.7, hkl 1 5 5
2θ = 63.1°, d = 1.473 Å, rel. 28.8, hkl 4 2 6



Record 4
Structure and simulated XRD peak list of Ru3ClO12 (a structure optimized by DFT (PBE); copper Kα).
No peak broadening, texture or thermal motion is included.

```
data_Ru3ClO12
_chemical_formula_sum 'Ru18 Cl6 O72'
_cell_length_a 9.1228
_cell_length_b 9.1228
_cell_length_c 28.1860
_cell_angle_alpha 90.00
_cell_angle_beta 90.00
_cell_angle_gamma 120.00
_space_group_name_H-M_alt 'R 3 c'
_space_group_IT_number 161
_space_group_name_Hall 'R 3 -2"c'
loop_
_atom_site_label
_atom_site_fract_x
_atom_site_fract_y
_atom_site_fract_z
Ru1 0.0308 0.3562 0.0000
Cl1 0.0000 0.0000 0.0817
O1 0.1522 0.4195 0.9496
O2 0.1604 0.4211 0.0488
O3 0.1938 0.4351 0.6678
O4 0.2079 0.4301 0.3347
```

Largest 10 diffraction maxima, low angle first, 15° ≤ 2θ ≤ 90°:
2θ = 18.9°, d = 4.698 Å, rel. 32.4, hkl 0 0 6
2θ = 19.5°, d = 4.561 Å, rel. 14.1, hkl 1 1 0
2θ = 21.7°, d = 4.103 Å, rel. 100.0, hkl 1 1 3
2θ = 27.3°, d = 3.273 Å, rel. 23.0, hkl 1 1 6
2θ = 34.0°, d = 2.634 Å, rel. 16.3, hkl 3 0 0
2θ = 34.7°, d = 2.582 Å, rel. 18.9, hkl 1 1 9
2θ = 39.2°, d = 2.297 Å, rel. 12.2, hkl 3 0 6
2θ = 40.7°, d = 2.216 Å, rel. 8.6, hkl 2 2 3
2θ = 52.2°, d = 1.753 Å, rel. 9.9, hkl 3 0 12
2θ = 54.1°, d = 1.696 Å, rel. 7.7, hkl 1 4 3



Record 5
Structure and simulated XRD peak list of K6Na2Au (a structure optimized by DFT (PBE); copper Kα).
No peak broadening, texture or thermal motion is included.

```
data_K6Na2Au
_chemical_formula_sum 'K12 Na4 Au2'
_cell_length_a 15.6163
_cell_length_b 9.0193
_cell_length_c 9.0212
_cell_angle_alpha 90.00
_cell_angle_beta 125.27
_cell_angle_gamma 90.00
_space_group_name_H-M_alt 'C 1 2/m 1'
_space_group_IT_number 12
loop_
_space_group_symop_operation_xyz
'x,y,z'
'-x,-y,-z'
'-x,y,-z'
'x,-y,z'
'x+1/2,y+1/2,z'
'-x+1/2,-y+1/2,-z'
'-x+1/2,y+1/2,-z'
'x+1/2,-y+1/2,z'
loop_
_atom_site_label
_atom_site_fract_x
_atom_site_fract_y
_atom_site_fract_z
K1 0.0003 0.2461 0.2464
K2 0.2460 0.0000 0.2453
Na1 0.2500 0.0000 0.7498
Au1 0.0000 0.5000 0.5000
```

Largest 10 diffraction maxima, low angle first, 15° ≤ 2θ ≤ 90°:
2θ = 19.7°, d = 4.509 Å, rel. 47.5, hkl 1 1 1
2θ = 23.1°, d = 3.846 Å, rel. 100.0, hkl 2 0 1
2θ = 28.0°, d = 3.189 Å, rel. 98.5, hkl 4 0 0
2θ = 30.6°, d = 2.926 Å, rel. 54.8, hkl 1 1 2
2θ = 31.4°, d = 2.852 Å, rel. 63.0, hkl 3 1 1
2θ = 36.6°, d = 2.455 Å, rel. 39.0, hkl 3 3 0
2θ = 40.0°, d = 2.255 Å, rel. 72.1, hkl 2 2 2
2θ = 41.9°, d = 2.156 Å, rel. 40.3, hkl 0 2 3
2θ = 42.5°, d = 2.126 Å, rel. 33.8, hkl 6 0 0
2θ = 55.3°, d = 1.660 Å, rel. 30.8, hkl 8 2 -1



Record 6
Structure and simulated XRD peak list of Ca2PtAu2 (a structure optimized by DFT (PBE); copper Kα).
No peak broadening, texture or thermal motion is included.

```
data_Ca2PtAu2
_chemical_formula_sum 'Ca8 Pt4 Au8'
_cell_length_a 10.6964
_cell_length_b 4.1224
_cell_length_c 11.4083
_cell_angle_alpha 90.00
_cell_angle_beta 111.72
_cell_angle_gamma 90.00
_space_group_name_H-M_alt 'C 1 2/m 1'
_space_group_IT_number 12
loop_
_space_group_symop_operation_xyz
'x,y,z'
'-x,-y,-z'
'-x,y,-z'
'x,-y,z'
'x+1/2,y+1/2,z'
'-x+1/2,-y+1/2,-z'
'-x+1/2,y+1/2,-z'
'x+1/2,-y+1/2,z'
loop_
_atom_site_label
_atom_site_fract_x
_atom_site_fract_y
_atom_site_fract_z
Ca1 0.0030 0.0000 0.3374
Ca2 0.1891 0.0000 0.1207
Pt1 0.1989 0.5000 0.3120
Au1 0.0387 0.5000 0.8931
Au2 0.1431 0.5000 0.5496
```

Largest 10 diffraction maxima, low angle first, 15° ≤ 2θ ≤ 90°:
2θ = 16.7°, d = 5.317 Å, rel. 46.8, hkl 2 0 -1
2θ = 23.4°, d = 3.808 Å, rel. 97.5, hkl 1 1 0
2θ = 24.9°, d = 3.570 Å, rel. 62.6, hkl 2 0 -3
2θ = 30.8°, d = 2.903 Å, rel. 29.1, hkl 1 1 2
2θ = 32.0°, d = 2.795 Å, rel. 72.8, hkl 1 1 -3
2θ = 38.2°, d = 2.357 Å, rel. 100.0, hkl 3 1 1
2θ = 39.5°, d = 2.281 Å, rel. 43.5, hkl 4 0 -4
2θ = 43.9°, d = 2.061 Å, rel. 42.9, hkl 0 2 0
2θ = 44.3°, d = 2.044 Å, rel. 46.7, hkl 2 0 4
2θ = 51.2°, d = 1.785 Å, rel. 33.9, hkl 2 2 -3



Record 7
Structure and simulated XRD peak list of Tl4PdSe3 (a structure optimized by DFT (PBE); copper Kα).
No peak broadening, texture or thermal motion is included.

```
data_Tl4PdSe3
_chemical_formula_sum 'Tl16 Pd4 Se12'
_cell_length_a 12.2217
_cell_length_b 12.2217
_cell_length_c 5.8972
_cell_angle_alpha 90.00
_cell_angle_beta 90.00
_cell_angle_gamma 90.00
_space_group_name_H-M_alt 'I 4/m c m'
_space_group_IT_number 140
_space_group_name_Hall '-I 4 2c'
loop_
_atom_site_label
_atom_site_fract_x
_atom_site_fract_y
_atom_site_fract_z
Tl1 0.0883 0.2220 0.0000
Pd1 0.0000 0.5000 0.2500
Se1 0.0000 0.0000 0.2500
Se2 0.1230 0.3770 0.5000
```

Largest 10 diffraction maxima, low angle first, 15° ≤ 2θ ≤ 90°:
2θ = 22.2°, d = 4.009 Å, rel. 18.8, hkl 2 1 1
2θ = 30.3°, d = 2.949 Å, rel. 23.5, hkl 0 0 2
2θ = 30.4°, d = 2.939 Å, rel. 100.0, hkl 3 2 1
2θ = 32.8°, d = 2.733 Å, rel. 38.8, hkl 4 2 0
2θ = 33.8°, d = 2.650 Å, rel. 64.4, hkl 4 1 1
2θ = 36.9°, d = 2.436 Å, rel. 25.7, hkl 2 2 2
2θ = 53.9°, d = 1.700 Å, rel. 20.4, hkl 3 2 3
2θ = 54.8°, d = 1.676 Å, rel. 19.0, hkl 6 0 2
2θ = 62.3°, d = 1.491 Å, rel. 15.8, hkl 5 5 2
2θ = 67.4°, d = 1.390 Å, rel. 18.2, hkl 8 3 1



Record 8
Structure and simulated XRD peak list of Cd5TeS4 (a structure optimized by DFT (PBE); copper Kα).
No peak broadening, texture or thermal motion is included.

```
data_Cd5TeS4
_chemical_formula_sum 'Cd10 Te2 S8'
_cell_length_a 4.2967
_cell_length_b 4.2967
_cell_length_c 30.1768
_cell_angle_alpha 90.00
_cell_angle_beta 90.00
_cell_angle_gamma 90.00
_space_group_name_H-M_alt 'I -4 m 2'
_space_group_IT_number 119
_space_group_name_Hall 'I -4 -2'
loop_
_atom_site_label
_atom_site_fract_x
_atom_site_fract_y
_atom_site_fract_z
Cd1 0.0000 0.0000 0.0000
Cd2 0.0000 0.0000 0.1900
Cd3 0.0000 0.0000 0.4054
Te1 0.0000 0.5000 0.2500
S1 0.0000 0.5000 0.0473
S2 0.0000 0.5000 0.6422
```

Largest 10 diffraction maxima, low angle first, 15° ≤ 2θ ≤ 90°:
2θ = 25.4°, d = 3.500 Å, rel. 100.0, hkl 1 0 5
2θ = 29.4°, d = 3.040 Å, rel. 12.5, hkl 1 1 0
2θ = 42.1°, d = 2.148 Å, rel. 23.0, hkl 2 0 0
2θ = 42.2°, d = 2.141 Å, rel. 38.6, hkl 1 1 10
2θ = 49.8°, d = 1.831 Å, rel. 30.3, hkl 2 1 5
2θ = 50.1°, d = 1.822 Å, rel. 10.2, hkl 1 0 15
2θ = 61.0°, d = 1.519 Å, rel. 7.3, hkl 2 2 0
2θ = 67.4°, d = 1.390 Å, rel. 8.1, hkl 2 1 15
2θ = 77.0°, d = 1.239 Å, rel. 12.4, hkl 3 1 10
2θ = 82.5°, d = 1.169 Å, rel. 6.7, hkl 3 2 5